Calculated X-ray powder pattern of V3Rh for Cu Kα (weighted mean of Kα1 and Kα2), from a structure optimized by DFT (PBE).
Intensities are scaled so that the largest is 100.

Crystal structure
```
data_V3Rh
_cell_length_a 4.7829
_cell_length_b 4.7829
_cell_length_c 4.7829
_cell_angle_alpha 90.00
_cell_angle_beta 90.00
_cell_angle_gamma 90.00
_space_group_name_H-M_alt 'P 1'
_space_group_IT_number 1
loop_
_space_group_symop_operation_xyz
'x,y,z'
loop_
_atom_site_label
_atom_site_fract_x
_atom_site_fract_y
_atom_site_fract_z
V1 0.0000 0.2500 0.5000
V2 0.0000 0.7500 0.5000
V3 0.2500 0.5000 0.0000
V4 0.5000 0.0000 0.2500
V5 0.5000 0.0000 0.7500
V6 0.7500 0.5000 0.0000
Rh1 0.0000 0.0000 0.0000
Rh2 0.5000 0.5000 0.5000
```

Peak list (7 most intense, 5 to 70 degrees two-theta, in order of rising 2θ)
- 2θ 26.4, rel. 30, (1 1 0)
- 2θ 37.6, rel. 47, (2 0 0)
- 2θ 42.3, rel. 54, (2 1 0)
- 2θ 46.5, rel. 100, (2 1 1)
- 2θ 54.2, rel. 4, (2 2 0)
- 2θ 61.3, rel. 6, (3 1 0)
- 2θ 67.9, rel. 1, (2 2 2)

Calculated X-ray powder pattern of MgTi3 for Cu Kα (weighted mean of Kα1 and Kα2), from a structure optimized by DFT (PBE).
Intensities are scaled so that the largest is 100.

Crystal structure
```
data_MgTi3
_cell_length_a 2.9582
_cell_length_b 2.9582
_cell_length_c 9.7243
_cell_angle_alpha 90.00
_cell_angle_beta 90.00
_cell_angle_gamma 120.00
_space_group_name_H-M_alt 'P 1'
_space_group_IT_number 1
loop_
_space_group_symop_operation_xyz
'x,y,z'
loop_
_atom_site_label
_atom_site_fract_x
_atom_site_fract_y
_atom_site_fract_z
Mg1 0.0000 0.0000 0.0000
Ti1 0.0000 0.0000 0.5000
Ti2 0.3333 0.6667 0.2673
Ti3 0.3333 0.6667 0.7327
```

Peak list (8 most intense, 5 to 70 degrees two-theta, in order of rising 2θ)
- 2θ 9.1, rel. 33, (0 0 1)
- 2θ 35.0, rel. 26, (1 0 0)
- 2θ 37.0, rel. 25, (0 0 4)
- 2θ 39.8, rel. 100, (1 0 2)
- 2θ 45.1, rel. 7, (1 0 3)
- 2θ 51.8, rel. 13, (1 0 4)
- 2θ 62.8, rel. 16, (1 1 0)
- 2θ 68.5, rel. 14, (1 0 6)